1.
Diffraction record for TiI. The X-ray powder pattern is calculated, not measured: it uses DFT lattice parameters and positions (GGA-PBE) and Cu Ka.

Cell and atoms:
a b c (Å): 3.5629 3.5629 9.2759
angles (deg): 90.00 90.00 120.00
Atoms (fractional coordinates):
Ti  0.3333  0.6667  0.0000
Ti  0.6667  0.3333  0.5000
I  0.3333  0.6667  0.6985
I  0.6667  0.3333  0.1985

Top 10 peaks for 2θ = 5–70°, in order of rising 2θ:
2θ (°)  d [Å]  I/Imax  index
19.14  4.638  42  0 0 2
28.94  3.086  41  1 0 0
30.53  2.928  100  1 0 1
34.93  2.569  14  1 0 2
38.83  2.319  17  0 0 4
41.34  2.184  84  1 0 3
51.28  1.781  31  1 1 0
55.24  1.663  15  1 1 2
66.15  1.413  21  1 1 4
67.88  1.381  23  2 0 3

***

2.
Diffraction record for TmI2. The X-ray powder pattern is calculated, not measured: it uses DFT lattice parameters and positions (GGA-PBE) and Cu Ka.

Cell and atoms:
a b c (Å): 4.0896 4.0896 8.0711
angles (deg): 90.00 90.00 120.00
Atoms (fractional coordinates):
Tm  0.0000  0.0000  0.0000
I  0.3333  0.6667  0.2380
I  0.6667  0.3333  0.7620

Top 10 peaks for 2θ = 5–70°, in order of rising 2θ:
2θ (°)  d [Å]  I/Imax  index
10.96  8.071  66  0 0 1
27.50  3.243  100  0 1 1
33.67  2.662  70  0 1 2
42.18  2.142  36  1 0 3
44.30  2.045  33  1 1 0
45.77  1.982  12  1 1 1
52.94  1.730  16  2 0 1
56.77  1.622  16  2 0 2
62.82  1.479  11  0 2 3
64.93  1.436  20  1 1 4

***

Please write out number 1 again, unchanged.
Diffraction record for TiI. The X-ray powder pattern is calculated, not measured: it uses DFT lattice parameters and positions (GGA-PBE) and Cu Ka.

Cell and atoms:
a b c (Å): 3.5629 3.5629 9.2759
angles (deg): 90.00 90.00 120.00
Atoms (fractional coordinates):
Ti  0.3333  0.6667  0.0000
Ti  0.6667  0.3333  0.5000
I  0.3333  0.6667  0.6985
I  0.6667  0.3333  0.1985

Top 10 peaks for 2θ = 5–70°, in order of rising 2θ:
2θ (°)  d [Å]  I/Imax  index
19.14  4.638  42  0 0 2
28.94  3.086  41  1 0 0
30.53  2.928  100  1 0 1
34.93  2.569  14  1 0 2
38.83  2.319  17  0 0 4
41.34  2.184  84  1 0 3
51.28  1.781  31  1 1 0
55.24  1.663  15  1 1 2
66.15  1.413  21  1 1 4
67.88  1.381  23  2 0 3

***

Copy entry 1 word for word.
Diffraction record for TiI. The X-ray powder pattern is calculated, not measured: it uses DFT lattice parameters and positions (GGA-PBE) and Cu Ka.

Cell and atoms:
a b c (Å): 3.5629 3.5629 9.2759
angles (deg): 90.00 90.00 120.00
Atoms (fractional coordinates):
Ti  0.3333  0.6667  0.0000
Ti  0.6667  0.3333  0.5000
I  0.3333  0.6667  0.6985
I  0.6667  0.3333  0.1985

Top 10 peaks for 2θ = 5–70°, in order of rising 2θ:
2θ (°)  d [Å]  I/Imax  index
19.14  4.638  42  0 0 2
28.94  3.086  41  1 0 0
30.53  2.928  100  1 0 1
34.93  2.569  14  1 0 2
38.83  2.319  17  0 0 4
41.34  2.184  84  1 0 3
51.28  1.781  31  1 1 0
55.24  1.663  15  1 1 2
66.15  1.413  21  1 1 4
67.88  1.381  23  2 0 3